Li2Fe3F8: theoretical PXRD pattern (Cu Kα (weighted mean of Kα1 and Kα2)), based on DFT lattice parameters and positions (PBE+U).
No peak broadening, texture or thermal motion is included.

Atomic structure:
```
data_Li2Fe3F8
_chemical_formula_sum 'Li8 Fe12 F32'
_space_group_name_H-M_alt 'P 1 21/c 1'
_space_group_IT_number 14
_space_group_name_Hall '-P 2ybc'
_cell_length_a 9.058
_cell_length_b 11.517
_cell_length_c 6.555
_cell_angle_alpha 90.00
_cell_angle_beta 96.35
_cell_angle_gamma 90.00
loop_
_atom_site_label
_atom_site_type_symbol
_atom_site_fract_x
_atom_site_fract_y
_atom_site_fract_z
Li1 Li 0.073 0.118 0.401
Li2 Li 0.401 0.572 0.702
Fe1 Fe 0.065 0.602 0.640
Fe2 Fe 0.260 0.597 0.184
Fe3 Fe 0.362 0.204 0.142
F1 F 0.088 0.722 0.138
F2 F 0.089 0.040 0.665
F3 F 0.098 0.081 0.116
F4 F 0.237 0.216 0.415
F5 F 0.256 0.597 0.480
F6 F 0.257 0.591 0.884
F7 F 0.472 0.187 0.855
F8 F 0.499 0.573 0.252
```

Peak list (10 most intense, 2θ = 10–80°, low angle first)
(hkl), Position (°2θ), d/Å, I/Imax
1 2 0, 18.29, 4.851, 29.8
2 1 0, 21.19, 4.193, 48.4
1 2 -1, 22.19, 4.007, 33.1
1 3 0, 25.22, 3.531, 100.0
1 0 -2, 28.08, 3.177, 26.9
1 1 -2, 29.16, 3.063, 18.7
2 2 1, 29.72, 3.006, 46.2
1 5 1, 43.20, 2.094, 33.6
3 4 1, 46.91, 1.937, 18.4
4 1 -2, 47.14, 1.928, 17.8